# VPbW
Computed powder diffractogram, Cu Kα (λ = 1.5418 Å). Input: a PBE-relaxed structure.
Neutral-atom scattering factors, no anomalous dispersion.

```
data_VPbW
_cell_length_a 3.1280
_cell_length_b 4.3044
_cell_length_c 9.5097
_cell_angle_alpha 90.00
_cell_angle_beta 90.30
_cell_angle_gamma 90.00
_space_group_name_H-M_alt 'P 1'
_space_group_IT_number 1
loop_
_space_group_symop_operation_xyz
'x,y,z'
loop_
_atom_site_label
_atom_site_type_symbol
_atom_site_fract_x
_atom_site_fract_y
_atom_site_fract_z
_atom_site_occupancy
V1 V 0.0000 0.0000 0.0000 1
V2 V 0.5004 0.5000 0.0048 1
Pb1 Pb 0.4968 0.0000 0.2518 1
Pb2 Pb 0.5533 0.5000 0.5100 1
W1 W 0.0471 0.5000 0.7798 1
W2 W 0.5468 0.0000 0.7765 1
```

Peak list (10 most intense, 2θ = 5–70°, by angle)
| hkl | 2θ/deg | I_rel |
| --- | --- | --- |
| 0 0 1 | 9.30 | 60 |
| 0 0 2 | 18.66 | 30 |
| 0 1 1 | 22.68 | 49 |
| 0 1 2 | 27.96 | 59 |
| 1 0 0 | 28.54 | 27 |
| 0 0 4 | 37.84 | 55 |
| 1 1 -2 | 40.30 | 100 |
| 1 1 2 | 40.45 | 97 |
| 0 2 0 | 41.98 | 45 |
| 0 2 4 | 57.79 | 32 |

# TbPuIn6
Computed powder diffractogram, Cu Kα (λ = 1.5418 Å). Input: a PBE-relaxed structure.
Neutral-atom scattering factors, no anomalous dispersion.

```
data_TbPuIn6
_cell_length_a 6.6428
_cell_length_b 6.6428
_cell_length_c 5.2695
_cell_angle_alpha 90.00
_cell_angle_beta 90.00
_cell_angle_gamma 120.00
_space_group_name_H-M_alt 'P 1'
_space_group_IT_number 1
loop_
_space_group_symop_operation_xyz
'x,y,z'
loop_
_atom_site_label
_atom_site_type_symbol
_atom_site_fract_x
_atom_site_fract_y
_atom_site_fract_z
_atom_site_occupancy
Tb1 Tb 0.0000 0.0000 0.0000 1
Pu1 Pu 0.6667 0.3333 0.5000 1
In1 In 0.0099 0.5050 0.0000 1
In2 In 0.1712 0.3424 0.5000 1
In3 In 0.1712 0.8288 0.5000 1
In4 In 0.4950 0.5050 0.0000 1
In5 In 0.4950 0.9901 0.0000 1
In6 In 0.6576 0.8288 0.5000 1
```

Peak list (10 most intense, 2θ = 5–70°, by angle)
| hkl | 2θ/deg | I_rel |
| --- | --- | --- |
| 1 0 1 | 22.89 | 8 |
| 2 0 0 | 31.09 | 24 |
| 0 0 2 | 34.03 | 25 |
| 2 0 1 | 35.56 | 100 |
| 2 0 2 | 46.76 | 16 |
| 2 2 0 | 55.32 | 18 |
| 2 0 3 | 61.90 | 20 |
| 4 0 0 | 64.83 | 3 |
| 2 2 2 | 66.56 | 21 |
| 4 0 1 | 67.51 | 15 |

# LaB6PbC6
Computed powder diffractogram, Cu Kα (λ = 1.5418 Å). Input: a PBE-relaxed structure.
Neutral-atom scattering factors, no anomalous dispersion.

```
data_LaB6PbC6
_cell_length_a 4.9238
_cell_length_b 4.9238
_cell_length_c 4.9238
_cell_angle_alpha 90.00
_cell_angle_beta 90.00
_cell_angle_gamma 90.00
_space_group_name_H-M_alt 'P 1'
_space_group_IT_number 1
loop_
_space_group_symop_operation_xyz
'x,y,z'
loop_
_atom_site_label
_atom_site_type_symbol
_atom_site_fract_x
_atom_site_fract_y
_atom_site_fract_z
_atom_site_occupancy
La1 La 0.0000 0.0000 0.0000 1
B1 B 0.0000 0.5000 0.2528 1
B2 B 0.0000 0.5000 0.7472 1
B3 B 0.2528 0.0000 0.5000 1
B4 B 0.5000 0.2528 0.0000 1
B5 B 0.5000 0.7472 0.0000 1
B6 B 0.7472 0.0000 0.5000 1
Pb1 Pb 0.5000 0.5000 0.5000 1
C1 C 0.0000 0.2472 0.5000 1
C2 C 0.0000 0.7528 0.5000 1
C3 C 0.2472 0.5000 0.0000 1
C4 C 0.5000 0.0000 0.2472 1
C5 C 0.5000 0.0000 0.7528 1
C6 C 0.7528 0.5000 0.0000 1
```

Peak list (10 most intense, 2θ = 5–70°, by angle)
| hkl | 2θ/deg | I_rel |
| --- | --- | --- |
| 1 0 0 | 18.02 | 5 |
| 1 1 0 | 25.59 | 100 |
| 1 1 1 | 31.47 | 2 |
| 2 0 0 | 36.50 | 32 |
| 2 0 1 | 40.99 | 3 |
| 2 1 1 | 45.10 | 70 |
| 2 2 0 | 52.57 | 16 |
| 3 0 0 | 56.03 | 2 |
| 3 1 0 | 59.36 | 22 |
| 2 2 2 | 65.69 | 4 |

# AgHPd3
Computed powder diffractogram, Cu Kα (λ = 1.5418 Å). Input: a PBE-relaxed structure.
Neutral-atom scattering factors, no anomalous dispersion.

```
data_AgHPd3
_cell_length_a 4.9771
_cell_length_b 5.0080
_cell_length_c 5.7381
_cell_angle_alpha 73.39
_cell_angle_beta 89.94
_cell_angle_gamma 80.71
_space_group_name_H-M_alt 'P 1'
_space_group_IT_number 1
loop_
_space_group_symop_operation_xyz
'x,y,z'
loop_
_atom_site_label
_atom_site_type_symbol
_atom_site_fract_x
_atom_site_fract_y
_atom_site_fract_z
_atom_site_occupancy
Ag1 Ag 0.0000 0.0000 0.0000 1
Ag2 Ag 0.4972 0.0017 0.7480 1
H1 H 0.4347 0.3574 0.1524 1
H2 H 0.9364 0.3628 0.4106 1
Pd1 Pd 0.2441 0.5040 0.8656 1
Pd2 Pd 0.2520 0.5036 0.3791 1
Pd3 Pd 0.5030 0.9824 0.2556 1
Pd4 Pd 0.7458 0.5031 0.6293 1
Pd5 Pd 0.7500 0.5036 0.1157 1
Pd6 Pd 0.9983 0.9842 0.5021 1
```

Peak list (8 most intense, 2θ = 5–70°, by angle)
| hkl | 2θ/deg | I_rel |
| --- | --- | --- |
| 0 2 0 | 38.04 | 34 |
| 2 1 0 | 38.36 | 100 |
| 2 -1 0 | 44.36 | 22 |
| 1 2 2 | 44.56 | 43 |
| -1 3 2 | 64.46 | 14 |
| 2 3 0 | 64.67 | 7 |
| 3 0 -2 | 64.93 | 14 |
| 0 1 4 | 65.01 | 7 |

# Y4Tm2Se9
Computed powder diffractogram, Cu Kα (λ = 1.5418 Å). Input: a PBE-relaxed structure.
Neutral-atom scattering factors, no anomalous dispersion.

```
data_Y4Tm2Se9
_cell_length_a 7.1705
_cell_length_b 7.1729
_cell_length_c 19.4124
_cell_angle_alpha 89.99
_cell_angle_beta 89.97
_cell_angle_gamma 60.03
_space_group_name_H-M_alt 'P 1'
_space_group_IT_number 1
loop_
_space_group_symop_operation_xyz
'x,y,z'
loop_
_atom_site_label
_atom_site_type_symbol
_atom_site_fract_x
_atom_site_fract_y
_atom_site_fract_z
_atom_site_occupancy
Y1 Y 0.1657 0.1669 0.1808 1
Y2 Y 0.1661 0.1668 0.9852 1
Y3 Y 0.1670 0.1665 0.4848 1
Y4 Y 0.1677 0.1663 0.6811 1
Y5 Y 0.8323 0.8337 0.3189 1
Y6 Y 0.8330 0.8335 0.5152 1
Y7 Y 0.8339 0.8332 0.0148 1
Y8 Y 0.8343 0.8331 0.8192 1
Tm1 Tm 0.4989 0.5013 0.1535 1
Tm2 Tm 0.4997 0.4990 0.3468 1
Tm3 Tm 0.5003 0.5010 0.6532 1
Tm4 Tm 0.5011 0.4987 0.8465 1
Se1 Se 0.1424 0.5294 0.4166 1
Se2 Se 0.1446 0.8276 0.9165 1
Se3 Se 0.1713 0.4721 0.0835 1
Se4 Se 0.1720 0.8573 0.5834 1
Se5 Se 0.1974 0.8031 0.2503 1
Se6 Se 0.1978 0.5003 0.7499 1
Se7 Se 0.4708 0.1735 0.5832 1
Se8 Se 0.4713 0.8570 0.0832 1
Se9 Se 0.4988 0.1978 0.2499 1
Se10 Se 0.5012 0.8022 0.7501 1
Se11 Se 0.5287 0.1430 0.9168 1
Se12 Se 0.5292 0.8265 0.4168 1
Se13 Se 0.8022 0.4997 0.2501 1
Se14 Se 0.8026 0.1969 0.7497 1
Se15 Se 0.8280 0.1427 0.4166 1
Se16 Se 0.8287 0.5279 0.9165 1
Se17 Se 0.8554 0.1724 0.0835 1
Se18 Se 0.8576 0.4706 0.5834 1
```

Peak list (10 most intense, 2θ = 5–70°, by angle)
| hkl | 2θ/deg | I_rel |
| --- | --- | --- |
| 1 1 2 | 16.95 | 41 |
| 1 1 -4 | 23.26 | 43 |
| 2 1 0 | 24.83 | 20 |
| 2 1 3 | 28.45 | 85 |
| 0 2 -4 | 34.28 | 32 |
| 1 2 6 | 37.44 | 100 |
| 3 1 4 | 42.79 | 28 |
| 3 3 0 | 43.72 | 65 |
| 2 1 -9 | 49.30 | 18 |
| 4 2 6 | 58.88 | 25 |

# PmPr2Nd2Er
Computed powder diffractogram, Cu Kα (λ = 1.5418 Å). Input: a PBE-relaxed structure.
Neutral-atom scattering factors, no anomalous dispersion.

```
data_PmPr2Nd2Er
_cell_length_a 7.1353
_cell_length_b 5.7836
_cell_length_c 9.9919
_cell_angle_alpha 90.00
_cell_angle_beta 90.00
_cell_angle_gamma 90.00
_space_group_name_H-M_alt 'P 1'
_space_group_IT_number 1
loop_
_space_group_symop_operation_xyz
'x,y,z'
loop_
_atom_site_label
_atom_site_type_symbol
_atom_site_fract_x
_atom_site_fract_y
_atom_site_fract_z
_atom_site_occupancy
Pm1 Pm 0.2500 0.0000 0.1602 1
Pm2 Pm 0.7500 0.0000 0.8398 1
Pr1 Pr 0.0000 0.0000 0.5000 1
Pr2 Pr 0.2500 0.5000 0.6744 1
Pr3 Pr 0.5000 0.0000 0.5000 1
Pr4 Pr 0.7500 0.5000 0.3256 1
Nd1 Nd 0.2500 0.0000 0.8333 1
Nd2 Nd 0.2500 0.5000 0.3337 1
Nd3 Nd 0.7500 0.0000 0.1667 1
Nd4 Nd 0.7500 0.5000 0.6663 1
Er1 Er 0.0000 0.5000 0.0000 1
Er2 Er 0.5000 0.5000 0.0000 1
```

Peak list (10 most intense, 2θ = 5–70°, by angle)
| hkl | 2θ/deg | I_rel |
| --- | --- | --- |
| 2 0 2 | 30.78 | 92 |
| 0 2 0 | 30.96 | 100 |
| 2 2 0 | 40.17 | 9 |
| 2 2 2 | 44.22 | 34 |
| 4 0 0 | 51.21 | 8 |
| 2 3 1 | 54.94 | 24 |
| 0 3 3 | 55.02 | 25 |
| 0 0 6 | 55.15 | 6 |
| 4 2 0 | 61.06 | 29 |
| 0 2 6 | 64.58 | 8 |

Repeat the first record exactly.
# VPbW
Computed powder diffractogram, Cu Kα (λ = 1.5418 Å). Input: a PBE-relaxed structure.
Neutral-atom scattering factors, no anomalous dispersion.

```
data_VPbW
_cell_length_a 3.1280
_cell_length_b 4.3044
_cell_length_c 9.5097
_cell_angle_alpha 90.00
_cell_angle_beta 90.30
_cell_angle_gamma 90.00
_space_group_name_H-M_alt 'P 1'
_space_group_IT_number 1
loop_
_space_group_symop_operation_xyz
'x,y,z'
loop_
_atom_site_label
_atom_site_type_symbol
_atom_site_fract_x
_atom_site_fract_y
_atom_site_fract_z
_atom_site_occupancy
V1 V 0.0000 0.0000 0.0000 1
V2 V 0.5004 0.5000 0.0048 1
Pb1 Pb 0.4968 0.0000 0.2518 1
Pb2 Pb 0.5533 0.5000 0.5100 1
W1 W 0.0471 0.5000 0.7798 1
W2 W 0.5468 0.0000 0.7765 1
```

Peak list (10 most intense, 2θ = 5–70°, by angle)
| hkl | 2θ/deg | I_rel |
| --- | --- | --- |
| 0 0 1 | 9.30 | 60 |
| 0 0 2 | 18.66 | 30 |
| 0 1 1 | 22.68 | 49 |
| 0 1 2 | 27.96 | 59 |
| 1 0 0 | 28.54 | 27 |
| 0 0 4 | 37.84 | 55 |
| 1 1 -2 | 40.30 | 100 |
| 1 1 2 | 40.45 | 97 |
| 0 2 0 | 41.98 | 45 |
| 0 2 4 | 57.79 | 32 |

Please write out number 1 again, unchanged.
# VPbW
Computed powder diffractogram, Cu Kα (λ = 1.5418 Å). Input: a PBE-relaxed structure.
Neutral-atom scattering factors, no anomalous dispersion.

```
data_VPbW
_cell_length_a 3.1280
_cell_length_b 4.3044
_cell_length_c 9.5097
_cell_angle_alpha 90.00
_cell_angle_beta 90.30
_cell_angle_gamma 90.00
_space_group_name_H-M_alt 'P 1'
_space_group_IT_number 1
loop_
_space_group_symop_operation_xyz
'x,y,z'
loop_
_atom_site_label
_atom_site_type_symbol
_atom_site_fract_x
_atom_site_fract_y
_atom_site_fract_z
_atom_site_occupancy
V1 V 0.0000 0.0000 0.0000 1
V2 V 0.5004 0.5000 0.0048 1
Pb1 Pb 0.4968 0.0000 0.2518 1
Pb2 Pb 0.5533 0.5000 0.5100 1
W1 W 0.0471 0.5000 0.7798 1
W2 W 0.5468 0.0000 0.7765 1
```

Peak list (10 most intense, 2θ = 5–70°, by angle)
| hkl | 2θ/deg | I_rel |
| --- | --- | --- |
| 0 0 1 | 9.30 | 60 |
| 0 0 2 | 18.66 | 30 |
| 0 1 1 | 22.68 | 49 |
| 0 1 2 | 27.96 | 59 |
| 1 0 0 | 28.54 | 27 |
| 0 0 4 | 37.84 | 55 |
| 1 1 -2 | 40.30 | 100 |
| 1 1 2 | 40.45 | 97 |
| 0 2 0 | 41.98 | 45 |
| 0 2 4 | 57.79 | 32 |

- What is the formula in the fourth record?
  AgHPd3